(1)
Starting from a GGA-PBE-relaxed structure, the powder diffractogram of HoScCF2 was computed for Cu Kα (weighted mean of Kα1 and Kα2).
Kinematic intensities with the Lorentz-polarization factor, no thermal factor.

Main lines, sorted by position (2θ = 5–70°):
14.20 deg, I = 63; 28.63 deg, I = 28; 29.68 deg, I = 58; 33.05 deg, I = 100; 41.71 deg, I = 70; 52.67 deg, I = 32; 53.58 deg, I = 31; 61.05 deg, I = 20; 63.61 deg, I = 16; 69.34 deg, I = 15

Cell and atoms:
```
5
Lattice="3.4753 0.0000 0.0000 -1.7377 3.0097 0.0000 0.0000 0.0000 6.2356" Properties=species:S:1:pos:R:3 pbc="T T T"
Ho 0.0000 0.0000 0.0000
Sc 0.0000 2.0065 3.6601
C 1.7377 1.0032 4.8890
F 0.0000 0.0000 2.6510
F 0.0000 2.0065 1.1386
```

=====

(2)
Starting from a GGA-PBE-relaxed structure, the powder diffractogram of GdYNi2B2As2 was computed for Cu Kα (weighted mean of Kα1 and Kα2).
Kinematic intensities with the Lorentz-polarization factor, no thermal factor.

Main lines, sorted by position (2θ = 5–70°):
24.97 deg, I = 21; 31.94 deg, I = 41; 32.87 deg, I = 37; 33.82 deg, I = 54; 38.97 deg, I = 100; 40.16 deg, I = 38; 45.80 deg, I = 54; 57.51 deg, I = 28; 62.52 deg, I = 20; 66.77 deg, I = 17

Cell and atoms:
```
8
Lattice="3.9626 0.0000 0.0000 0.0000 3.9626 0.0000 0.0000 0.0000 8.1745" Properties=species:S:1:pos:R:3 pbc="T T T"
Gd 0.0000 0.0000 0.0000
Y 1.9813 1.9813 4.5007
Ni 0.0000 1.9813 2.2467
Ni 1.9813 0.0000 2.2467
B 0.0000 0.0000 2.9293
B 1.9813 1.9813 1.5350
As 0.0000 0.0000 5.0500
As 1.9813 1.9813 7.5881
```

=====

(3)
Starting from a GGA-PBE-relaxed structure, the powder diffractogram of HoTm2Al2Cd4 was computed for Cu Kα (weighted mean of Kα1 and Kα2).
Kinematic intensities with the Lorentz-polarization factor, no thermal factor.

Main lines, sorted by position (2θ = 5–70°):
28.46 deg, I = 26; 31.63 deg, I = 78; 34.79 deg, I = 100; 37.96 deg, I = 40; 39.78 deg, I = 29; 49.64 deg, I = 11; 56.15 deg, I = 25; 56.65 deg, I = 15; 68.36 deg, I = 13; 69.01 deg, I = 13

Cell and atoms:
```
9
Lattice="4.5318 0.0000 0.0000 0.0000 6.2805 3.6160 0.0000 -6.2805 3.6160" Properties=species:S:1:pos:R:3 pbc="T T T"
Ho 0.0000 0.0000 0.0000
Tm 0.0000 -2.7111 4.6786
Tm 0.0000 2.7111 4.6786
Al 2.2659 -4.1802 3.1191
Al 2.2659 4.1802 3.1191
Cd 0.0000 0.0000 3.1319
Cd 2.2659 -1.5790 2.2122
Cd 2.2659 1.5790 2.2122
Cd 2.2659 0.0000 4.9398
```

=====

(4)
Starting from a GGA-PBE-relaxed structure, the powder diffractogram of KHo was computed for Cu Kα (weighted mean of Kα1 and Kα2).
Kinematic intensities with the Lorentz-polarization factor, no thermal factor.

Main lines, sorted by position (2θ = 5–70°):
12.39 deg, I = 58; 24.93 deg, I = 35; 28.46 deg, I = 39; 31.14 deg, I = 100; 38.19 deg, I = 36; 47.97 deg, I = 30; 50.40 deg, I = 15; 52.11 deg, I = 11; 57.02 deg, I = 21; 60.44 deg, I = 15

Cell and atoms:
```
2
Lattice="3.6214 0.0000 0.0000 -1.8107 3.1363 0.0000 0.0000 0.0000 7.1441" Properties=species:S:1:pos:R:3 pbc="T T T"
K 0.0000 0.0000 0.0000
Ho 0.0000 2.0908 3.5721
```

=====

(5)
Starting from a GGA-PBE-relaxed structure, the powder diffractogram of PmPu was computed for Cu Kα (weighted mean of Kα1 and Kα2).
Kinematic intensities with the Lorentz-polarization factor, no thermal factor.

Main lines, sorted by position (2θ = 5–70°):
15.30 deg, I = 7; 29.32 deg, I = 26; 30.88 deg, I = 26; 33.24 deg, I = 100; 43.11 deg, I = 19; 52.00 deg, I = 19; 56.44 deg, I = 23; 61.72 deg, I = 23; 63.12 deg, I = 16; 69.77 deg, I = 5

Cell and atoms:
```
2
Lattice="3.5170 0.0000 0.0000 -1.7585 3.0459 0.0000 0.0000 0.0000 5.7906" Properties=species:S:1:pos:R:3 pbc="T T T"
Pm 0.0000 0.0000 0.0000
Pu 1.7585 1.0153 2.8953
```

=====

What did the fifth record say?
Starting from a GGA-PBE-relaxed structure, the powder diffractogram of PmPu was computed for Cu Kα (weighted mean of Kα1 and Kα2).
Kinematic intensities with the Lorentz-polarization factor, no thermal factor.

Main lines, sorted by position (2θ = 5–70°):
15.30 deg, I = 7; 29.32 deg, I = 26; 30.88 deg, I = 26; 33.24 deg, I = 100; 43.11 deg, I = 19; 52.00 deg, I = 19; 56.44 deg, I = 23; 61.72 deg, I = 23; 63.12 deg, I = 16; 69.77 deg, I = 5

Cell and atoms:
```
2
Lattice="3.5170 0.0000 0.0000 -1.7585 3.0459 0.0000 0.0000 0.0000 5.7906" Properties=species:S:1:pos:R:3 pbc="T T T"
Pm 0.0000 0.0000 0.0000
Pu 1.7585 1.0153 2.8953
```